Structure and computed PXRD pattern of CuSn2Te2F2 (a DFT-relaxed cell (PBE, OQMD); Cu Kα X-rays).
Peak positions follow from Bragg's law for the DFT cell and can differ from measured ones.

Principal peaks in the range 15 to 90 degrees two-theta, in order of rising 2θ:
2θ/deg, I (rel.)
29.3, 100
31.4, 32
37.0, 36
44.9, 31
45.1, 30
50.6, 15
54.6, 35
65.5, 20
65.6, 9
73.4, 7
77.5, 12
77.8, 8

Atomic structure:
Cell: 4.0245 4.0245 9.3440 Å, 90.00 90.00 90.00°
Space group P-4m2 (No. 115)
One atom of each set of equivalent atoms:
Cu 0.0000 0.0000 0.0000 [1 per cell]
Sn 0.0000 0.5000 0.3383 [2 per cell]
Te 0.0000 0.5000 0.8292 [2 per cell]
F 0.0000 0.0000 0.5000 [1 per cell]
F 0.5000 0.5000 0.5000 [1 per cell]


Structure and computed PXRD pattern of SrCu2Te2F2 (a DFT-relaxed cell (PBE, OQMD); Cu Kα X-rays).
Peak positions follow from Bragg's law for the DFT cell and can differ from measured ones.

Principal peaks in the range 15 to 90 degrees two-theta, in order of rising 2θ:
2θ/deg, I (rel.)
25.6, 57
29.9, 31
34.3, 29
35.4, 19
35.9, 100
38.7, 83
49.2, 39
51.2, 31
62.4, 38
65.6, 19
73.8, 20
85.0, 16

Atomic structure:
Cell: 3.7018 3.7018 10.1695 Å, 90.00 90.00 90.00°
Space group P-4m2 (No. 115)
One atom of each set of equivalent atoms:
Sr 0.0000 0.0000 0.0000 [1 per cell]
Cu 0.0000 0.5000 0.6207 [2 per cell]
Te 0.0000 0.5000 0.2528 [2 per cell]
F 0.0000 0.0000 0.5000 [1 per cell]
F 0.5000 0.5000 0.5000 [1 per cell]


Structure and computed PXRD pattern of Cu2TcF8 (a DFT-relaxed cell (PBE, OQMD); Cu Kα X-rays).
Peak positions follow from Bragg's law for the DFT cell and can differ from measured ones.

Principal peaks in the range 15 to 90 degrees two-theta, in order of rising 2θ:
2θ/deg, I (rel.)
20.7, 16
26.7, 100
32.2, 88
43.8, 10
44.4, 16
50.8, 75
55.1, 21
60.5, 18
62.3, 16
65.3, 21
67.4, 11
78.2, 11

Atomic structure:
Cell: 4.7142 4.7142 10.3297 Å, 90.00 90.00 90.00°
Space group I-4 (No. 82)
One atom of each set of equivalent atoms:
Cu 0.0000 0.0000 0.1805 [4 per cell]
Tc 0.0000 0.0000 0.5000 [2 per cell]
F 0.1636 0.2205 0.3373 [8 per cell]
F 0.1873 0.7242 0.9338 [8 per cell]


Structure and computed PXRD pattern of Tl4Cu3F (a DFT-relaxed cell (PBE, OQMD); Cu Kα X-rays).
Peak positions follow from Bragg's law for the DFT cell and can differ from measured ones.

Principal peaks in the range 15 to 90 degrees two-theta, in order of rising 2θ:
2θ/deg, I (rel.)
28.1, 88
32.3, 50
32.7, 100
46.7, 73
46.9, 37
55.1, 13
55.6, 29
58.1, 37
77.2, 15
77.8, 16
78.0, 16
87.0, 24

Atomic structure:
Cell: 5.4777 5.4777 11.0701 Å, 90.00 90.00 90.00°
Space group I4/mmm (No. 139)
One atom of each set of equivalent atoms:
Tl 0.0000 0.0000 0.2397 [4 per cell]
Tl 0.0000 0.5000 0.0000 [4 per cell]
Cu 0.0000 0.0000 0.5000 [2 per cell]
Cu 0.0000 0.5000 0.2500 [4 per cell]
F 0.0000 0.0000 0.0000 [2 per cell]


Structure and computed PXRD pattern of ZrTlCuF7 (a DFT-relaxed cell (PBE, OQMD); Cu Kα X-rays).
Peak positions follow from Bragg's law for the DFT cell and can differ from measured ones.

Principal peaks in the range 15 to 90 degrees two-theta, in order of rising 2θ:
2θ/deg, I (rel.)
16.0, 27
27.7, 100
28.0, 40
28.4, 55
39.7, 26
40.4, 12
45.9, 16
48.9, 25
49.3, 19
50.1, 23
54.8, 18
69.6, 13

Atomic structure:
Cell: 6.2937 7.9079 6.2943 Å, 90.00 118.25 90.00°
Space group P2_1/m (No. 11)
One atom of each set of equivalent atoms:
Zr 0.1873 0.2500 0.3108 [2 per cell]
Tl 0.5000 0.0000 0.0000 [2 per cell]
Cu 0.1887 0.7500 0.3128 [2 per cell]
F 0.0002 0.2500 0.4971 [2 per cell]
F 0.1600 0.2500 0.9608 [2 per cell]
F 0.1711 0.7500 0.9453 [2 per cell]
F 0.1979 0.5071 0.3013 [4 per cell]
F 0.4431 0.2500 0.6692 [2 per cell]
F 0.4624 0.7500 0.6614 [2 per cell]


Structure and computed PXRD pattern of Fe2Cu (a DFT-relaxed cell (PBE, OQMD); Cu Kα X-rays).
Peak positions follow from Bragg's law for the DFT cell and can differ from measured ones.

Principal peaks in the range 15 to 90 degrees two-theta, in order of rising 2θ:
2θ/deg, I (rel.)
23.4, 2
38.6, 34
45.6, 100
47.8, 34
55.7, 3
69.9, 10
74.8, 27
82.8, 23

Atomic structure:
Cell: 6.5960 6.5960 6.5960 Å, 90.00 90.00 90.00°
Space group Fd-3m (No. 227, origin choice 2)
One atom of each set of equivalent atoms:
Fe 0.0000 0.0000 0.0000 [16 per cell]
Cu 0.1250 0.1250 0.6250 [8 per cell]


Structure and computed PXRD pattern of Ga2FeCu5 (a DFT-relaxed cell (PBE, OQMD); Cu Kα X-rays).
Peak positions follow from Bragg's law for the DFT cell and can differ from measured ones.

Principal peaks in the range 15 to 90 degrees two-theta, in order of rising 2θ:
2θ/deg, I (rel.)
43.4, 100
44.5, 47
61.5, 8
64.7, 14
79.0, 15
81.2, 28

Atomic structure:
Cell: 4.0744 4.0744 6.0348 Å, 90.00 90.00 90.00°
Space group P4/mmm (No. 123)
One atom of each set of equivalent atoms:
Ga 0.0000 0.0000 0.0000 [1 per cell]
Ga 0.5000 0.5000 0.5000 [1 per cell]
Fe 0.0000 0.0000 0.5000 [1 per cell]
Cu 0.0000 0.5000 0.2497 [4 per cell]
Cu 0.5000 0.5000 0.0000 [1 per cell]


Structure and computed PXRD pattern of Li2Mg2Ga2FeCu (a DFT-relaxed cell (PBE, OQMD); Cu Kα X-rays).
Peak positions follow from Bragg's law for the DFT cell and can differ from measured ones.

Principal peaks in the range 15 to 90 degrees two-theta, in order of rising 2θ:
2θ/deg, I (rel.)
25.1, 79
41.4, 100
42.0, 49
48.6, 12
49.5, 24
59.2, 8
60.9, 15
66.1, 9
66.9, 5
75.2, 15
76.3, 30
82.2, 5

Atomic structure:
Cell: 4.3049 4.3049 6.2440 Å, 90.00 90.00 90.00°
Space group P-4m2 (No. 115)
One atom of each set of equivalent atoms:
Li 0.0000 0.0000 0.0000 [1 per cell]
Li 0.5000 0.5000 0.5000 [1 per cell]
Mg 0.0000 0.5000 0.2469 [2 per cell]
Ga 0.0000 0.5000 0.7380 [2 per cell]
Fe 0.0000 0.0000 0.5000 [1 per cell]
Cu 0.5000 0.5000 0.0000 [1 per cell]